For KScS2, a cell relaxed with GGA-PBE gives the theoretical X-ray powder pattern in this record (Cu Kα X-rays).

Principal peaks in the range 5 to 70 degrees two-theta, in order of rising 2θ:
- (0 1 0), 10.19°, intensity 16.4
- (0 0 2), 29.44°, intensity 64.9
- (1 2 0), 31.64°, intensity 100.0
- (1 2 2), 43.76°, intensity 63.7
- (2 0 0), 48.88°, intensity 15.6
- (2 0 2), 58.10°, intensity 15.3

Structural model:
a = 3.7267 Å, b = 8.6835 Å, c = 6.0672 Å
α = 90.00°, β = 90.00°, γ = 90.00°
Positions (direct):
K1 0.0000 0.1163 0.0000
K2 0.5000 0.8837 0.5000
Sc1 0.0000 0.6166 0.9675
Sc2 0.5000 0.3834 0.4675
S1 0.0000 0.1876 0.5029
S2 0.0000 0.5862 0.5516
S3 0.5000 0.4138 0.0516
S4 0.5000 0.8124 0.0029